1.
K2TlRh3O8: calculated powder X-ray diffraction pattern (Cu Kα (λ = 1.5418 Å)), based on a cell relaxed with GGA-PBE.
Lines closer than 0.1° are merged.

Peak list (10 most intense, 2θ = 10–90°, in order of rising 2θ)
2θ 13.92, intensity 100; 2θ 28.06, intensity 17; 2θ 32.58, intensity 35; 2θ 33.61, intensity 25; 2θ 37.47, intensity 37; 2θ 40.16, intensity 11; 2θ 46.69, intensity 16; 2θ 57.47, intensity 15; 2θ 59.45, intensity 13; 2θ 65.15, intensity 10

Structure:
```
K2TlRh3O8
1.0
3.207 1.852 6.361
-3.207 1.852 6.361
0.000 -3.703 6.361
K Tl Rh O
2 1 3 8
Cartesian
0.000 0.000 0.000 K
0.000 0.000 6.628 K
0.000 0.000 15.722 Tl
0.000 -1.855 9.913 Rh
-1.606 0.927 9.913 Rh
1.606 0.927 9.913 Rh
0.000 -1.726 4.511 O
-1.494 0.863 4.511 O
0.000 0.000 2.593 O
-1.379 -0.796 8.798 O
1.494 0.863 4.511 O
0.000 0.000 10.819 O
1.379 -0.796 8.798 O
0.000 1.592 8.798 O
```

2.
Li2Sn5Se6: calculated powder X-ray diffraction pattern (Cu Kα (λ = 1.5418 Å)), based on a cell relaxed with GGA-PBE.
Lines closer than 0.1° are merged.

Peak list (10 most intense, 2θ = 10–90°, in order of rising 2θ)
2θ 14.31, intensity 40; 2θ 20.39, intensity 71; 2θ 22.40, intensity 45; 2θ 26.02, intensity 39; 2θ 27.02, intensity 58; 2θ 28.83, intensity 51; 2θ 29.50, intensity 90; 2θ 30.11, intensity 100; 2θ 34.67, intensity 46; 2θ 38.06, intensity 40

Structure:
```
Li2Sn5Se6
1.0
6.330 -3.969 0.000
6.330 3.969 0.000
-3.376 0.000 15.628
Li Sn Se
4 10 12
Cartesian
1.620 1.048 6.800 Li
-0.068 -1.048 14.614 Li
9.353 1.048 1.014 Li
7.664 -1.048 8.828 Li
-0.742 0.257 11.023 Sn
0.947 -0.257 3.209 Sn
5.471 1.296 0.580 Sn
5.501 1.296 7.235 Sn
3.798 0.788 11.721 Sn
5.486 -0.788 3.907 Sn
3.783 -1.296 8.394 Sn
3.813 -1.296 15.049 Sn
8.338 0.257 12.420 Sn
10.026 -0.257 4.606 Sn
-1.795 0.448 13.660 Se
-0.106 -0.448 5.846 Se
1.947 0.456 9.313 Se
3.654 0.937 5.125 Se
3.635 -0.456 1.499 Se
1.965 -0.937 12.939 Se
7.319 0.937 2.689 Se
5.649 0.456 14.129 Se
5.631 -0.937 10.503 Se
7.337 -0.456 6.315 Se
9.391 0.448 9.782 Se
11.079 -0.448 1.968 Se
```

3.
Y2Pd3Au: calculated powder X-ray diffraction pattern (Cu Kα (λ = 1.5418 Å)), based on a cell relaxed with GGA-PBE.
Lines closer than 0.1° are merged.

Peak list (10 most intense, 2θ = 10–90°, in order of rising 2θ)
2θ 21.54, intensity 52; 2θ 28.05, intensity 28; 2θ 32.02, intensity 37; 2θ 33.38, intensity 49; 2θ 35.95, intensity 100; 2θ 38.02, intensity 80; 2θ 41.18, intensity 64; 2θ 51.76, intensity 26; 2θ 53.32, intensity 43; 2θ 66.00, intensity 24

Structure:
```
Y2Pd3Au
1.0
-4.996 4.996 5.375
4.996 -4.996 5.375
4.996 4.996 -5.375
Y Pd Au
8 12 4
Cartesian
3.045 2.498 -0.289 Y
6.947 2.498 -0.289 Y
0.000 0.547 2.398 Y
4.996 0.547 2.977 Y
0.000 4.449 2.398 Y
4.996 4.449 2.977 Y
-1.951 2.498 5.664 Y
1.951 2.498 5.664 Y
4.996 0.000 0.000 Pd
2.617 0.120 1.344 Pd
7.374 0.120 1.344 Pd
2.617 5.115 -1.344 Pd
2.378 0.120 4.031 Pd
-2.498 2.498 2.687 Pd
0.000 0.000 5.375 Pd
2.498 2.498 2.687 Pd
2.617 4.876 1.344 Pd
2.378 -0.120 6.719 Pd
-2.378 4.876 4.031 Pd
2.378 4.876 4.031 Pd
4.996 2.498 -2.610 Au
0.000 2.498 0.077 Au
4.996 2.498 5.298 Au
0.000 2.498 7.985 Au
```

4.
Ac3AuSe5: calculated powder X-ray diffraction pattern (Cu Kα (λ = 1.5418 Å)), based on a cell relaxed with GGA-PBE.
Lines closer than 0.1° are merged.

Peak list (10 most intense, 2θ = 10–90°, in order of rising 2θ)
2θ 24.49, intensity 55; 2θ 24.59, intensity 21; 2θ 30.12, intensity 100; 2θ 32.63, intensity 36; 2θ 33.73, intensity 23; 2θ 39.27, intensity 19; 2θ 44.93, intensity 19; 2θ 48.46, intensity 29; 2θ 55.07, intensity 18; 2θ 62.55, intensity 17

Structure:
```
Ac3AuSe5
1.0
-4.202 4.202 7.242
4.202 -4.202 7.242
4.202 4.202 -7.242
Ac Au Se
6 2 10
Cartesian
5.478 1.276 0.000 Ac
0.000 0.000 3.621 Ac
1.276 2.925 0.000 Ac
2.925 1.276 7.242 Ac
0.000 0.000 10.863 Ac
-1.276 2.925 7.242 Ac
4.202 0.000 3.621 Au
0.000 4.202 3.621 Au
0.000 0.000 0.000 Se
2.766 1.436 -2.056 Se
2.766 -1.436 5.186 Se
2.766 1.436 2.056 Se
2.766 -1.436 9.298 Se
0.000 0.000 7.242 Se
1.436 5.637 -2.056 Se
1.436 2.766 5.186 Se
1.436 5.637 2.056 Se
1.436 2.766 9.298 Se
```

5.
CdFeP2S6: calculated powder X-ray diffraction pattern (Cu Kα (λ = 1.5418 Å)), based on a cell relaxed with GGA-PBE.
Lines closer than 0.1° are merged.

Peak list (10 most intense, 2θ = 10–90°, in order of rising 2θ)
2θ 12.46, intensity 100; 2θ 26.83, intensity 8; 2θ 29.48, intensity 34; 2θ 30.28, intensity 9; 2θ 33.77, intensity 69; 2θ 41.82, intensity 14; 2θ 45.08, intensity 12; 2θ 51.61, intensity 7; 2θ 51.78, intensity 16; 2θ 53.49, intensity 8

Structure:
```
CdFeP2S6
1.0
3.055 -5.313 0.000
3.055 5.313 0.000
-2.049 0.000 7.102
Cd Fe P S
1 1 2 6
Cartesian
0.000 0.000 0.000 Cd
3.055 -1.620 0.000 Fe
1.030 1.784 5.990 P
3.031 1.784 1.112 P
1.058 1.933 1.600 S
0.175 -0.007 5.452 S
1.095 -1.902 1.653 S
3.002 1.933 5.502 S
3.885 -0.007 1.650 S
2.966 -1.902 5.448 S
```

6.
Ho2ThAl2: calculated powder X-ray diffraction pattern (Cu Kα (λ = 1.5418 Å)), based on a cell relaxed with GGA-PBE.
Lines closer than 0.1° are merged.

Peak list (10 most intense, 2θ = 10–90°, in order of rising 2θ)
2θ 18.11, intensity 31; 2θ 19.59, intensity 29; 2θ 20.25, intensity 29; 2θ 30.49, intensity 70; 2θ 31.41, intensity 91; 2θ 31.84, intensity 100; 2θ 32.12, intensity 29; 2θ 32.26, intensity 37; 2θ 33.37, intensity 40; 2θ 35.88, intensity 47

Structure:
```
Ho2ThAl2
1.0
5.594 0.000 0.000
0.000 3.661 0.000
-1.666 0.000 13.159
Ho Th Al
4 2 4
Cartesian
0.685 0.915 1.454 Ho
0.568 2.746 7.045 Ho
3.360 0.915 6.114 Ho
3.243 2.746 11.705 Ho
0.451 0.915 10.032 Th
3.477 2.746 3.126 Th
0.593 0.915 4.468 Al
0.368 2.746 12.631 Al
3.561 0.915 0.528 Al
3.335 2.746 8.690 Al
```